1.
This entry pairs a crystal structure of Er12GaNi5 with its theoretical powder XRD pattern. Radiation: CuKα. Structure: a crystal structure in Alexandria, relaxed with PBE.
Peak positions follow from Bragg's law for the DFT cell and can differ from measured ones.

Structure:
```
Er12GaNi5
1.0
-4.608 4.698 4.862
4.608 -4.698 4.862
4.608 4.698 -4.862
Er Ga Ni
12 1 5
Cartesian
4.608 2.917 -2.702
2.657 1.702 0.000
6.560 1.702 0.000
1.815 4.698 -1.705
2.793 0.000 3.156
0.000 1.781 2.159
4.608 2.917 2.702
1.815 4.698 1.705
2.793 0.000 6.567
-1.952 2.996 4.862
1.952 2.996 4.862
0.000 1.781 7.564
0.000 0.000 4.862
0.000 0.000 0.000
4.608 0.000 1.206
0.000 3.367 0.000
0.000 6.028 0.000
0.000 4.698 3.655
```

Most intense lines, 2θ = 15–90°, by intensity:
2θ = 32.87°, 2.725 Å, rel. 100
2θ = 35.46°, 2.532 Å, rel. 63
2θ = 35.17°, 2.551 Å, rel. 60
2θ = 35.88°, 2.503 Å, rel. 46
2θ = 61.40°, 1.510 Å, rel. 34
2θ = 30.62°, 2.920 Å, rel. 32
2θ = 57.50°, 1.603 Å, rel. 29
2θ = 29.97°, 2.981 Å, rel. 28
2θ = 36.13°, 2.486 Å, rel. 28
2θ = 29.17°, 3.062 Å, rel. 27



2.
This entry pairs a crystal structure of ErGa2Ni3 with its theoretical powder XRD pattern. Radiation: CuKα. Structure: a crystal structure in Alexandria, relaxed with PBE.
Peak positions follow from Bragg's law for the DFT cell and can differ from measured ones.

Structure:
```
ErGa2Ni3
1.0
8.745 0.000 0.000
-4.372 7.573 0.000
0.000 0.000 4.080
Er Ga Ni
3 6 9
Cartesian
0.000 0.000 0.000
0.000 5.049 2.040
4.373 2.524 2.040
-1.185 2.053 2.040
-2.275 3.941 0.000
2.370 0.000 2.040
2.097 3.632 0.000
4.551 0.000 0.000
3.187 5.521 2.040
-3.094 5.359 2.040
-0.120 2.834 0.000
-1.858 6.260 0.000
1.279 2.214 2.040
2.514 1.313 0.000
1.978 6.052 0.000
6.188 0.000 2.040
4.252 4.739 0.000
6.351 1.521 0.000
```

Most intense lines, 2θ = 15–90°, by intensity:
2θ = 38.42°, 2.343 Å, rel. 100
2θ = 32.25°, 2.775 Å, rel. 72
2θ = 42.09°, 2.147 Å, rel. 65
2θ = 41.30°, 2.186 Å, rel. 58
2θ = 44.41°, 2.040 Å, rel. 50
2θ = 35.56°, 2.524 Å, rel. 41
2θ = 62.25°, 1.491 Å, rel. 33
2θ = 47.16°, 1.927 Å, rel. 27
2θ = 24.79°, 3.592 Å, rel. 20
2θ = 58.14°, 1.587 Å, rel. 20



3.
This entry pairs a crystal structure of Er4Ga21Ni10 with its theoretical powder XRD pattern. Radiation: CuKα. Structure: a crystal structure in Alexandria, relaxed with PBE.
Peak positions follow from Bragg's law for the DFT cell and can differ from measured ones.

Structure:
```
Er4Ga21Ni10
1.0
10.429 -2.054 0.000
10.429 2.054 0.000
-8.615 0.000 12.625
Er Ga Ni
4 21 10
Cartesian
-0.351 0.000 4.221
-2.331 0.000 10.413
14.575 0.000 2.212
12.594 0.000 8.404
-0.645 0.000 1.163
-5.492 0.000 10.058
-2.326 0.000 6.998
4.157 0.000 0.034
2.663 0.000 3.721
1.922 0.000 6.284
0.849 0.000 10.144
5.502 0.000 3.741
8.314 0.000 0.002
4.132 0.000 7.973
6.122 0.000 6.312
8.112 0.000 4.652
3.930 0.000 12.622
6.742 0.000 8.883
11.394 0.000 2.481
10.322 0.000 6.340
9.581 0.000 8.904
8.086 0.000 12.591
14.570 0.000 5.627
17.736 0.000 2.567
12.888 0.000 11.461
-4.738 0.000 7.655
1.882 0.000 1.339
-0.094 0.000 7.776
6.282 0.000 1.399
3.351 0.000 10.299
8.892 0.000 2.326
5.962 0.000 11.225
12.338 0.000 4.848
10.361 0.000 11.286
16.982 0.000 4.969
```

Most intense lines, 2θ = 15–90°, by intensity:
2θ = 44.09°, 2.054 Å, rel. 100
2θ = 37.70°, 2.386 Å, rel. 86
2θ = 38.59°, 2.333 Å, rel. 80
2θ = 37.15°, 2.420 Å, rel. 63
2θ = 37.84°, 2.378 Å, rel. 51
2θ = 38.14°, 2.359 Å, rel. 49
2θ = 37.30°, 2.411 Å, rel. 35
2θ = 46.06°, 1.970 Å, rel. 31
2θ = 36.92°, 2.435 Å, rel. 26
2θ = 33.81°, 2.651 Å, rel. 26



4.
This entry pairs a crystal structure of Er2Ga4Ni3 with its theoretical powder XRD pattern. Radiation: CuKα. Structure: a crystal structure in Alexandria, relaxed with PBE.
Peak positions follow from Bragg's law for the DFT cell and can differ from measured ones.

Structure:
```
Er2Ga4Ni3
1.0
0.000 4.565 6.252
2.594 0.000 6.252
2.594 4.565 0.000
Er Ga Ni
2 4 3
Cartesian
2.594 4.565 1.587
2.594 4.565 10.917
2.594 3.012 4.241
2.594 3.012 8.262
2.594 6.118 4.241
2.594 6.118 8.262
1.297 2.283 0.000
1.297 2.283 6.252
2.594 4.565 6.252
```

Most intense lines, 2θ = 15–90°, by intensity:
2θ = 40.62°, 2.221 Å, rel. 100
2θ = 34.92°, 2.569 Å, rel. 44
2θ = 34.58°, 2.594 Å, rel. 34
2θ = 45.44°, 1.996 Å, rel. 34
2θ = 41.28°, 2.187 Å, rel. 29
2θ = 66.06°, 1.414 Å, rel. 23
2θ = 39.97°, 2.255 Å, rel. 20
2θ = 34.78°, 2.579 Å, rel. 19
2θ = 29.17°, 3.061 Å, rel. 19
2θ = 28.56°, 3.126 Å, rel. 18



5.
This entry pairs a crystal structure of Er12GaNi6 with its theoretical powder XRD pattern. Radiation: CuKα. Structure: a crystal structure in Alexandria, relaxed with PBE.
Peak positions follow from Bragg's law for the DFT cell and can differ from measured ones.

Structure:
```
Er12GaNi6
1.0
-4.775 4.775 4.775
4.775 -4.775 4.775
4.775 4.775 -4.775
Er Ga Ni
12 1 6
Cartesian
4.775 -1.909 2.993
2.866 1.782 0.000
6.684 1.782 0.000
2.993 4.775 -1.909
1.782 0.000 2.866
0.000 2.866 1.782
4.775 1.909 2.993
2.993 4.775 1.909
1.782 0.000 6.684
-1.909 2.993 4.775
1.909 2.993 4.775
0.000 6.684 1.782
0.000 0.000 0.000
4.775 0.000 1.192
4.775 3.583 0.000
1.192 4.775 0.000
3.583 0.000 4.775
0.000 1.192 4.775
0.000 4.775 3.583
```

Most intense lines, 2θ = 15–90°, by intensity:
2θ = 35.16°, 2.552 Å, rel. 100
2θ = 29.58°, 3.020 Å, rel. 42
2θ = 32.48°, 2.757 Å, rel. 40
2θ = 56.16°, 1.638 Å, rel. 37
2θ = 59.69°, 1.549 Å, rel. 35
2θ = 69.62°, 1.351 Å, rel. 17
2θ = 87.97°, 1.110 Å, rel. 17
2θ = 48.61°, 1.873 Å, rel. 17
2θ = 37.68°, 2.387 Å, rel. 16
2θ = 86.47°, 1.125 Å, rel. 14



6.
This entry pairs a crystal structure of Er4GaNi3 with its theoretical powder XRD pattern. Radiation: CuKα. Structure: a crystal structure in Alexandria, relaxed with PBE.
Peak positions follow from Bragg's law for the DFT cell and can differ from measured ones.

Structure:
```
Er4GaNi3
1.0
3.662 0.000 0.000
0.000 4.286 0.000
0.000 0.000 10.359
Er Ga Ni
4 1 3
Cartesian
0.000 0.000 0.000
0.000 2.143 2.752
1.831 0.000 4.940
1.831 2.143 8.042
0.000 0.000 7.249
0.000 2.143 5.778
1.831 0.000 2.112
1.831 2.143 0.620
```

Most intense lines, 2θ = 15–90°, by intensity:
2θ = 33.33°, 2.689 Å, rel. 100
2θ = 41.67°, 2.167 Å, rel. 43
2θ = 35.74°, 2.512 Å, rel. 42
2θ = 27.00°, 3.302 Å, rel. 40
2θ = 42.17°, 2.143 Å, rel. 28
2θ = 34.64°, 2.590 Å, rel. 24
2θ = 56.44°, 1.630 Å, rel. 23
2θ = 57.56°, 1.601 Å, rel. 20
2θ = 40.70°, 2.217 Å, rel. 19
2θ = 49.81°, 1.831 Å, rel. 17